(1)
# ErPaCu2Ge2
Computed powder diffractogram, a wavelength of 1.5418 Å. Input: a DFT-relaxed cell (GGA-PBE, Alexandria).
Intensities are scaled so that the largest is 100.

Main lines, in order of falling intensity (2θ = 10–90°):
2θ (°)  I/Imax
34.24  100
43.39  42
56.40  24
24.65  24
66.55  23
73.73  22
47.84  10
80.26  9

Cell: 4.171 4.171 7.606 Å, 90.00 90.00 120.00°
Atoms (fractional coordinates):
Er 0.000 0.000 0.000
Pa 0.000 0.000 0.500
Cu 0.333 0.667 0.261
Cu 0.667 0.333 0.739
Ge 0.333 0.667 0.752
Ge 0.667 0.333 0.248


(2)
# ErHfCu10
Computed powder diffractogram, a wavelength of 1.5418 Å. Input: a DFT-relaxed cell (GGA-PBE, Alexandria).
Intensities are scaled so that the largest is 100.

Main lines, in order of falling intensity (2θ = 10–90°):
2θ (°)  I/Imax
42.90  100
30.27  79
42.68  51
44.34  42
42.21  35
36.51  31
69.79  22
62.88  21

Cell: 4.086 4.956 8.508 Å, 90.00 90.00 90.00°
Atoms (fractional coordinates):
Er 0.000 0.000 0.000
Hf 0.000 0.500 0.500
Cu 0.000 0.000 0.339
Cu 0.000 0.000 0.661
Cu 0.000 0.500 0.174
Cu 0.000 0.500 0.826
Cu 0.500 0.000 0.500
Cu 0.500 0.253 0.256
Cu 0.500 0.253 0.744
Cu 0.500 0.500 0.000
Cu 0.500 0.747 0.256
Cu 0.500 0.747 0.744


(3)
# Er5CuHg4
Computed powder diffractogram, a wavelength of 1.5418 Å. Input: a DFT-relaxed cell (GGA-PBE, Alexandria).
Intensities are scaled so that the largest is 100.

Main lines, in order of falling intensity (2θ = 10–90°):
2θ (°)  I/Imax
34.65  100
35.09  50
62.67  36
50.47  18
61.81  17
73.11  10
84.76  8
49.15  8

Cell: 3.617 3.617 18.536 Å, 90.00 90.00 90.00°
Atoms (fractional coordinates):
Er 0.000 0.000 0.000
Er 0.000 0.000 0.205
Er 0.000 0.000 0.411
Er 0.000 0.000 0.589
Er 0.000 0.000 0.795
Cu 0.500 0.500 0.500
Hg 0.500 0.500 0.102
Hg 0.500 0.500 0.307
Hg 0.500 0.500 0.693
Hg 0.500 0.500 0.898


(4)
# HoErCuHg
Computed powder diffractogram, a wavelength of 1.5418 Å. Input: a DFT-relaxed cell (GGA-PBE, Alexandria).
Intensities are scaled so that the largest is 100.

Main lines, in order of falling intensity (2θ = 10–90°):
2θ (°)  I/Imax
35.18  100
36.16  49
64.40  35
52.07  17
28.10  17
62.48  16
74.37  10
87.91  10

Cell: 3.513 3.513 7.422 Å, 90.00 90.00 90.00°
Atoms (fractional coordinates):
Ho 0.000 0.000 0.000
Er 0.000 0.000 0.548
Cu 0.500 0.500 0.771
Hg 0.500 0.500 0.275


(5)
# ErZrCuHg
Computed powder diffractogram, a wavelength of 1.5418 Å. Input: a DFT-relaxed cell (GGA-PBE, Alexandria).
Intensities are scaled so that the largest is 100.

Main lines, in order of falling intensity (2θ = 10–90°):
2θ (°)  I/Imax
36.31  100
65.33  36
22.00  18
52.29  18
88.33  16
77.10  11
42.86  10
57.40  5

Cell: 4.948 4.948 4.948 Å, 60.00 60.00 60.00°
Atoms (fractional coordinates):
Er 0.000 0.000 0.000
Zr 0.500 0.500 0.500
Cu 0.250 0.250 0.250
Hg 0.750 0.750 0.750


(6)
# Ho3ErCu4
Computed powder diffractogram, a wavelength of 1.5418 Å. Input: a DFT-relaxed cell (GGA-PBE, Alexandria).
Intensities are scaled so that the largest is 100.

Main lines, in order of falling intensity (2θ = 10–90°):
2θ (°)  I/Imax
36.91  100
36.81  50
66.38  35
25.80  20
53.05  17
66.56  17
89.86  16
78.56  11

Cell: 3.435 4.884 9.763 Å, 90.00 90.00 90.00°
Atoms (fractional coordinates):
Ho 0.000 0.000 0.000
Ho 0.000 0.500 0.250
Ho 0.000 0.500 0.750
Er 0.000 0.000 0.500
Cu 0.500 0.000 0.251
Cu 0.500 0.000 0.749
Cu 0.500 0.500 0.000
Cu 0.500 0.500 0.500


(7)
# Ho2ErCu
Computed powder diffractogram, a wavelength of 1.5418 Å. Input: a DFT-relaxed cell (GGA-PBE, Alexandria).
Intensities are scaled so that the largest is 100.

Main lines, in order of falling intensity (2θ = 10–90°):
2θ (°)  I/Imax
31.01  100
29.76  57
36.95  38
57.70  26
32.09  25
39.54  25
38.33  22
33.49  20

Cell: 6.219 6.219 7.539 Å, 90.00 90.00 133.95°
Atoms (fractional coordinates):
Ho 0.148 0.852 0.533
Ho 0.148 0.852 0.967
Ho 0.852 0.148 0.033
Ho 0.852 0.148 0.467
Er 0.456 0.544 0.750
Er 0.544 0.456 0.250
Cu 0.298 0.702 0.250
Cu 0.702 0.298 0.750


(8)
# Ho3ErCu2
Computed powder diffractogram, a wavelength of 1.5418 Å. Input: a DFT-relaxed cell (GGA-PBE, Alexandria).
Intensities are scaled so that the largest is 100.

Main lines, in order of falling intensity (2θ = 10–90°):
2θ (°)  I/Imax
30.56  100
33.68  91
36.85  52
36.18  45
31.98  38
40.97  32
56.27  25
62.17  21

Cell: 4.879 8.653 6.832 Å, 90.00 90.00 90.00°
Atoms (fractional coordinates):
Ho 0.000 0.075 0.000
Ho 0.000 0.335 0.370
Ho 0.000 0.665 0.870
Ho 0.000 0.925 0.500
Ho 0.500 0.166 0.659
Ho 0.500 0.834 0.159
Er 0.500 0.425 0.029
Er 0.500 0.575 0.529
Cu 0.000 0.349 0.775
Cu 0.000 0.651 0.275
Cu 0.500 0.152 0.254
Cu 0.500 0.848 0.754


(9)
# Ho2Er3Cu4
Computed powder diffractogram, a wavelength of 1.5418 Å. Input: a DFT-relaxed cell (GGA-PBE, Alexandria).
Intensities are scaled so that the largest is 100.

Main lines, in order of falling intensity (2θ = 10–90°):
2θ (°)  I/Imax
34.90  100
33.36  99
35.89  88
33.58  86
40.76  62
33.79  51
39.99  46
32.06  41

Cell: 8.415 7.196 6.988 Å, 90.00 108.95 90.00°
Atoms (fractional coordinates):
Ho 0.189 0.181 0.061
Ho 0.189 0.319 0.561
Ho 0.811 0.681 0.439
Ho 0.811 0.819 0.939
Er 0.234 0.674 0.229
Er 0.234 0.826 0.729
Er 0.500 0.000 0.500
Er 0.500 0.500 0.000
Er 0.766 0.174 0.271
Er 0.766 0.326 0.771
Cu 0.065 0.530 0.847
Cu 0.065 0.970 0.347
Cu 0.489 0.126 0.879
Cu 0.489 0.374 0.379
Cu 0.511 0.626 0.621
Cu 0.511 0.874 0.121
Cu 0.935 0.030 0.653
Cu 0.935 0.470 0.153


(10)
# HoErCuRe
Computed powder diffractogram, a wavelength of 1.5418 Å. Input: a DFT-relaxed cell (GGA-PBE, Alexandria).
Intensities are scaled so that the largest is 100.

Main lines, in order of falling intensity (2θ = 10–90°):
2θ (°)  I/Imax
37.15  100
66.97  36
53.55  17
79.15  11
22.50  9
43.87  5
58.80  2
26.03  2

Cell: 4.840 4.840 4.840 Å, 60.00 60.00 60.00°
Atoms (fractional coordinates):
Ho 0.000 0.000 0.000
Er 0.500 0.500 0.500
Cu 0.250 0.250 0.250
Re 0.750 0.750 0.750


(11)
# HoEr2CuS5
Computed powder diffractogram, a wavelength of 1.5418 Å. Input: a DFT-relaxed cell (GGA-PBE, Alexandria).
Intensities are scaled so that the largest is 100.

Main lines, in order of falling intensity (2θ = 10–90°):
2θ (°)  I/Imax
33.90  100
39.31  80
25.88  75
33.19  44
47.92  33
28.48  32
29.57  31
21.31  26

Cell: 8.552 8.552 11.342 Å, 90.00 90.00 154.36°
Atoms (fractional coordinates):
Ho 0.195 0.805 0.500
Ho 0.805 0.195 0.000
Er 0.105 0.895 0.174
Er 0.119 0.881 0.797
Er 0.881 0.119 0.297
Er 0.895 0.105 0.674
Cu 0.442 0.558 0.946
Cu 0.558 0.442 0.446
S 0.042 0.958 0.556
S 0.290 0.710 0.170
S 0.319 0.681 0.832
S 0.358 0.642 0.492
S 0.497 0.503 0.269
S 0.503 0.497 0.769
S 0.642 0.358 0.992
S 0.681 0.319 0.332
S 0.710 0.290 0.670
S 0.958 0.042 0.056


(12)
# HoErCuSi
Computed powder diffractogram, a wavelength of 1.5418 Å. Input: a DFT-relaxed cell (GGA-PBE, Alexandria).
Intensities are scaled so that the largest is 100.

Main lines, in order of falling intensity (2θ = 10–90°):
2θ (°)  I/Imax
32.41  100
27.69  52
33.76  51
40.60  38
57.13  34
33.88  26
44.62  21
44.96  21

Cell: 4.062 5.662 5.662 Å, 41.72 90.00 90.00°
Atoms (fractional coordinates):
Ho 0.000 0.000 0.000
Er 0.500 0.719 0.719
Cu 0.000 0.292 0.292
Si 0.500 0.432 0.432


(13)
# Er6In2Cu
Computed powder diffractogram, a wavelength of 1.5418 Å. Input: a DFT-relaxed cell (GGA-PBE, Alexandria).
Intensities are scaled so that the largest is 100.

Main lines, in order of falling intensity (2θ = 10–90°):
2θ (°)  I/Imax
35.61  100
25.20  35
35.75  26
36.11  24
24.75  20
64.15  18
51.72  17
64.61  16

Cell: 8.656 8.656 8.656 Å, 146.27 130.89 60.90°
Atoms (fractional coordinates):
Er 0.082 0.342 0.740
Er 0.230 0.000 0.230
Er 0.398 0.658 0.740
Er 0.602 0.342 0.260
Er 0.770 0.000 0.770
Er 0.918 0.658 0.260
In 0.333 0.833 0.500
In 0.667 0.167 0.500
Cu 0.000 0.500 0.500


(14)
# ErInCu
Computed powder diffractogram, a wavelength of 1.5418 Å. Input: a DFT-relaxed cell (GGA-PBE, Alexandria).
Intensities are scaled so that the largest is 100.

Main lines, in order of falling intensity (2θ = 10–90°):
2θ (°)  I/Imax
33.20  100
36.09  73
36.91  49
67.74  24
42.07  23
60.65  23
56.60  23
46.33  21

Cell: 7.441 7.441 3.919 Å, 90.00 90.00 120.00°
Atoms (fractional coordinates):
Er 0.000 0.590 0.000
Er 0.410 0.410 0.000
Er 0.590 0.000 0.000
In 0.000 0.256 0.500
In 0.256 0.000 0.500
In 0.744 0.744 0.500
Cu 0.000 0.000 0.000
Cu 0.333 0.667 0.500
Cu 0.667 0.333 0.500